# 1
Nd3Tm4Th: simulated X-ray diffraction stick pattern (copper Kα), based on a crystal structure in Alexandria, relaxed with PBE.

Unit cell a=11.523 b=7.218 c=6.261 alpha=90.00 beta=90.00 gamma=90.00
Element x y z (fractional)
Nd 0.000 0.122 0.000
Nd 0.248 0.125 0.335
Nd 0.252 0.875 0.835
Nd 0.500 0.878 0.500
Nd 0.748 0.875 0.835
Nd 0.752 0.125 0.335
Tm 0.000 0.380 0.506
Tm 0.000 0.625 0.008
Tm 0.248 0.623 0.343
Tm 0.252 0.377 0.843
Tm 0.500 0.375 0.508
Tm 0.500 0.620 0.006
Tm 0.748 0.377 0.843
Tm 0.752 0.623 0.343
Th 0.000 0.870 0.509
Th 0.500 0.130 0.009

Largest 10 diffraction maxima, by intensity, 2θ from 10° to 90°:
2θ/deg	d (Å)	I_rel
32.57	2.749	100
31.05	2.881	25
28.54	3.128	24
60.51	1.530	23
56.20	1.637	21
50.54	1.806	20
42.67	2.119	16
61.46	1.509	11
83.42	1.159	9
86.41	1.126	9

=====

# 2
NdTm12Th6: simulated X-ray diffraction stick pattern (copper Kα), based on a crystal structure in Alexandria, relaxed with PBE.

Unit cell a=9.236 b=9.236 c=9.236 alpha=106.97 beta=106.97 gamma=106.97
Element x y z (fractional)
Nd 0.000 0.000 0.000
Tm 0.091 0.329 0.329
Tm 0.112 0.500 0.888
Tm 0.112 0.888 0.500
Tm 0.329 0.091 0.329
Tm 0.329 0.329 0.091
Tm 0.500 0.112 0.888
Tm 0.500 0.888 0.112
Tm 0.671 0.671 0.909
Tm 0.671 0.909 0.671
Tm 0.888 0.112 0.500
Tm 0.888 0.500 0.112
Tm 0.909 0.671 0.671
Th 0.294 0.674 0.674
Th 0.326 0.326 0.706
Th 0.326 0.706 0.326
Th 0.674 0.294 0.674
Th 0.674 0.674 0.294
Th 0.706 0.326 0.326

Largest 10 diffraction maxima, by intensity, 2θ from 10° to 90°:
2θ/deg	d (Å)	I_rel
31.55	2.836	100
35.04	2.561	84
33.40	2.683	59
26.45	3.370	51
62.02	1.496	29
25.90	3.441	27
36.31	2.474	26
20.20	4.396	25
39.14	2.301	25
58.09	1.588	24

=====

# 3
Nd3Tm8Th: simulated X-ray diffraction stick pattern (copper Kα), based on a crystal structure in Alexandria, relaxed with PBE.

Unit cell a=8.428 b=8.428 c=8.428 alpha=100.28 beta=95.51 gamma=136.51
Element x y z (fractional)
Nd 0.000 0.000 0.000
Nd 0.088 0.338 0.749
Nd 0.589 0.338 0.251
Tm 0.012 0.345 0.333
Tm 0.012 0.679 0.667
Tm 0.093 0.007 0.416
Tm 0.093 0.677 0.086
Tm 0.510 0.337 0.827
Tm 0.510 0.682 0.173
Tm 0.591 0.007 0.914
Tm 0.591 0.677 0.584
Th 0.499 0.999 0.500

Largest 10 diffraction maxima, by intensity, 2θ from 10° to 90°:
2θ/deg	d (Å)	I_rel
32.76	2.733	100
31.58	2.833	25
28.60	3.121	24
60.94	1.520	23
56.99	1.616	21
50.67	1.802	20
61.66	1.504	16
43.13	2.098	16
83.74	1.155	9
87.62	1.114	9

=====

# 4
NdTm4Th2: simulated X-ray diffraction stick pattern (copper Kα), based on a crystal structure in Alexandria, relaxed with PBE.

Unit cell a=3.489 b=8.721 c=8.749 alpha=119.48 beta=90.17 gamma=101.40
Element x y z (fractional)
Nd 0.000 0.000 0.000
Tm 0.295 0.586 0.706
Tm 0.350 0.702 0.154
Tm 0.650 0.298 0.846
Tm 0.705 0.414 0.294
Th 0.068 0.138 0.435
Th 0.932 0.862 0.565

Largest 10 diffraction maxima, by intensity, 2θ from 10° to 90°:
2θ/deg	d (Å)	I_rel
31.50	2.840	100
31.35	2.853	97
32.06	2.792	63
33.37	2.685	62
30.10	2.969	28
30.19	2.960	20
62.47	1.487	20
52.45	1.745	17
57.51	1.602	15
47.61	1.910	14

=====

# 5
Nd8Tm2Th: simulated X-ray diffraction stick pattern (copper Kα), based on a crystal structure in Alexandria, relaxed with PBE.

Unit cell a=8.577 b=8.577 c=5.455 alpha=90.00 beta=90.00 gamma=105.09
Element x y z (fractional)
Nd 0.168 0.168 0.000
Nd 0.202 0.466 0.500
Nd 0.248 0.752 0.000
Nd 0.466 0.202 0.500
Nd 0.534 0.798 0.500
Nd 0.752 0.248 0.000
Nd 0.798 0.534 0.500
Nd 0.832 0.832 0.000
Tm 0.119 0.881 0.500
Tm 0.881 0.119 0.500
Th 0.500 0.500 0.000

Largest 10 diffraction maxima, by intensity, 2θ from 10° to 90°:
2θ/deg	d (Å)	I_rel
30.96	2.888	100
31.20	2.867	89
32.84	2.728	43
32.43	2.761	43
46.82	1.940	31
62.33	1.490	28
56.79	1.621	19
42.14	2.144	18
57.45	1.604	17
54.43	1.686	17

=====

# 6
Nd7Tm4Th: simulated X-ray diffraction stick pattern (copper Kα), based on a crystal structure in Alexandria, relaxed with PBE.

Unit cell a=3.612 b=3.612 c=35.311 alpha=90.00 beta=90.00 gamma=120.00
Element x y z (fractional)
Nd 0.000 0.000 0.000
Nd 0.000 0.000 0.251
Nd 0.000 0.000 0.749
Nd 0.333 0.667 0.164
Nd 0.333 0.667 0.418
Nd 0.667 0.333 0.582
Nd 0.667 0.333 0.836
Tm 0.333 0.667 0.667
Tm 0.333 0.667 0.918
Tm 0.667 0.333 0.082
Tm 0.667 0.333 0.333
Th 0.000 0.000 0.500

Largest 10 diffraction maxima, by intensity, 2θ from 10° to 90°:
2θ/deg	d (Å)	I_rel
30.33	2.947	100
35.16	2.552	51
50.58	1.805	36
60.10	1.540	32
82.30	1.172	13
60.18	1.538	11
63.06	1.474	9
84.91	1.142	8
85.04	1.141	8
74.33	1.276	6

=====

# 7
Nd2Tm4Th3: simulated X-ray diffraction stick pattern (copper Kα), based on a crystal structure in Alexandria, relaxed with PBE.

Unit cell a=3.557 b=3.557 c=26.536 alpha=90.00 beta=90.00 gamma=120.00
Element x y z (fractional)
Nd 0.000 0.000 0.000
Nd 0.000 0.000 0.224
Tm 0.000 0.000 0.352
Tm 0.000 0.000 0.568
Tm 0.333 0.667 0.673
Tm 0.333 0.667 0.889
Th 0.000 0.000 0.782
Th 0.333 0.667 0.114
Th 0.333 0.667 0.458

Largest 10 diffraction maxima, by intensity, 2θ from 10° to 90°:
2θ/deg	d (Å)	I_rel
33.64	2.664	100
32.04	2.794	59
30.31	2.948	45
28.99	3.080	43
60.83	1.523	38
51.38	1.778	35
57.05	1.614	31
42.44	2.130	27
62.84	1.479	20
85.36	1.137	15

=====

# 8
Nd5Tm2Th: simulated X-ray diffraction stick pattern (copper Kα), based on a crystal structure in Alexandria, relaxed with PBE.

Unit cell a=7.235 b=14.470 c=5.115 alpha=90.00 beta=90.00 gamma=90.00
Element x y z (fractional)
Nd 0.000 0.000 0.000
Nd 0.008 0.252 0.000
Nd 0.249 0.377 0.500
Nd 0.251 0.877 0.500
Nd 0.492 0.752 0.000
Nd 0.500 0.500 0.000
Nd 0.508 0.248 0.000
Nd 0.749 0.123 0.500
Nd 0.751 0.623 0.500
Nd 0.992 0.748 0.000
Tm 0.239 0.622 0.500
Tm 0.261 0.122 0.500
Tm 0.739 0.878 0.500
Tm 0.761 0.378 0.500
Th 0.000 0.500 0.000
Th 0.500 0.000 0.000

Largest 10 diffraction maxima, by intensity, 2θ from 10° to 90°:
2θ/deg	d (Å)	I_rel
30.26	2.954	100
35.08	2.558	51
59.97	1.542	43
50.46	1.809	36
82.12	1.174	18
84.74	1.144	16
62.94	1.477	12
74.14	1.279	6
13.68	6.471	2
12.23	7.235	1

=====

# 9
Nd12Tm5Th: simulated X-ray diffraction stick pattern (copper Kα), based on a crystal structure in Alexandria, relaxed with PBE.

Unit cell a=10.870 b=10.870 c=5.133 alpha=90.00 beta=90.00 gamma=90.08
Element x y z (fractional)
Nd 0.003 0.330 0.500
Nd 0.163 0.837 0.000
Nd 0.170 0.498 0.000
Nd 0.330 0.003 0.500
Nd 0.337 0.663 0.500
Nd 0.498 0.170 0.000
Nd 0.502 0.830 0.000
Nd 0.663 0.337 0.500
Nd 0.670 0.997 0.500
Nd 0.830 0.502 0.000
Nd 0.837 0.163 0.000
Nd 0.997 0.670 0.500
Tm 0.000 0.000 0.500
Tm 0.168 0.168 0.000
Tm 0.336 0.336 0.500
Tm 0.664 0.664 0.500
Tm 0.832 0.832 0.000
Th 0.500 0.500 0.000

Largest 10 diffraction maxima, by intensity, 2θ from 10° to 90°:
2θ/deg	d (Å)	I_rel
30.19	2.960	100
35.00	2.564	51
50.34	1.813	36
59.80	1.547	29
81.90	1.176	18
59.89	1.544	14
62.78	1.480	12
84.45	1.147	8
84.58	1.146	8
73.89	1.283	4

=====

# 10
Nd2Y3Th: simulated X-ray diffraction stick pattern (copper Kα), based on a crystal structure in Alexandria, relaxed with PBE.

Unit cell a=9.559 b=9.559 c=9.559 alpha=148.86 beta=116.15 gamma=72.75
Element x y z (fractional)
Nd 0.082 0.332 0.750
Nd 0.251 0.001 0.250
Nd 0.749 0.999 0.750
Nd 0.918 0.668 0.250
Y 0.000 0.500 0.500
Y 0.176 0.168 0.008
Y 0.340 0.832 0.508
Y 0.500 0.500 0.000
Y 0.660 0.168 0.492
Y 0.824 0.832 0.992
Th 0.418 0.668 0.750
Th 0.582 0.332 0.250

Largest 10 diffraction maxima, by intensity, 2θ from 10° to 90°:
2θ/deg	d (Å)	I_rel
30.32	2.947	100
34.97	2.565	34
59.87	1.545	29
50.70	1.800	23
35.52	2.527	16
60.59	1.528	13
63.08	1.474	12
50.30	1.814	12
82.54	1.169	11
17.54	5.055	8

=====

# 11
Nd2Y5Th3: simulated X-ray diffraction stick pattern (copper Kα), based on a crystal structure in Alexandria, relaxed with PBE.

Unit cell a=6.248 b=6.248 c=11.384 alpha=90.15 beta=90.15 gamma=47.79
Element x y z (fractional)
Nd 0.098 0.098 0.203
Nd 0.902 0.902 0.797
Y 0.199 0.199 0.897
Y 0.299 0.299 0.598
Y 0.500 0.500 0.000
Y 0.701 0.701 0.402
Y 0.801 0.801 0.103
Th 0.000 0.000 0.500
Th 0.402 0.402 0.302
Th 0.598 0.598 0.698

Largest 10 diffraction maxima, by intensity, 2θ from 10° to 90°:
2θ/deg	d (Å)	I_rel
30.43	2.937	100
35.12	2.556	17
35.27	2.544	16
35.47	2.531	16
60.59	1.528	14
60.12	1.539	14
60.33	1.534	14
50.77	1.798	12
50.89	1.794	12
63.30	1.469	6

=====

# 12
Nd4Y2Th3: simulated X-ray diffraction stick pattern (copper Kα), based on a crystal structure in Alexandria, relaxed with PBE.

Unit cell a=3.597 b=3.597 c=27.141 alpha=90.00 beta=90.00 gamma=120.00
Element x y z (fractional)
Nd 0.000 0.000 0.000
Nd 0.000 0.000 0.217
Nd 0.333 0.667 0.333
Nd 0.333 0.667 0.552
Y 0.000 0.000 0.662
Y 0.000 0.000 0.875
Th 0.000 0.000 0.442
Th 0.333 0.667 0.108
Th 0.333 0.667 0.770

Largest 10 diffraction maxima, by intensity, 2θ from 10° to 90°:
2θ/deg	d (Å)	I_rel
33.16	2.702	100
31.61	2.831	87
29.62	3.016	57
28.66	3.115	49
59.88	1.545	48
50.77	1.798	40
41.69	2.167	34
55.86	1.646	28
61.99	1.497	17
83.70	1.155	17

=====

# 13
NdY7Th2: simulated X-ray diffraction stick pattern (copper Kα), based on a crystal structure in Alexandria, relaxed with PBE.

Unit cell a=6.194 b=7.149 c=8.060 alpha=76.95 beta=74.89 gamma=73.66
Element x y z (fractional)
Nd 0.000 0.000 0.000
Y 0.000 0.500 0.000
Y 0.198 0.299 0.598
Y 0.396 0.099 0.206
Y 0.404 0.599 0.204
Y 0.596 0.401 0.796
Y 0.604 0.901 0.794
Y 0.802 0.701 0.402
Th 0.197 0.801 0.598
Th 0.803 0.199 0.402

Largest 10 diffraction maxima, by intensity, 2θ from 10° to 90°:
2θ/deg	d (Å)	I_rel
30.53	2.928	100
35.27	2.545	34
50.99	1.791	18
35.66	2.518	17
60.41	1.532	14
60.29	1.535	11
60.87	1.522	10
63.51	1.465	9
83.08	1.163	7
50.68	1.801	6